[1]
The following is a calculated PXRD pattern of Li3Cr3FeO8. It was derived from a DFT-relaxed cell (PBE+U, the Materials Project), using Cu Kα.

Atomic structure:
```
Li3Cr3FeO8
1.0
2.942 1.699 4.887
-2.942 1.699 4.887
0.000 -3.397 4.887
Li Cr Fe O
3 3 1 8
Cartesian
-1.471 -0.849 4.887
-1.471 0.849 9.774
0.000 1.699 4.887
-2.942 0.000 7.331
-1.471 0.849 2.444
1.471 0.849 2.444
0.000 0.000 7.331
0.000 0.000 3.536
-1.388 -0.801 8.380
0.000 -1.603 6.281
-1.388 0.801 6.281
1.388 -0.801 8.380
0.000 1.603 8.380
1.388 0.801 6.281
0.000 0.000 11.126
```

Main lines, in order of falling intensity (2θ = 15–90°):
Position (°2θ), I/Imax
18.15, 100
43.25, 67
35.77, 36
63.21, 18
62.42, 17
56.91, 14

[2]
The following is a calculated PXRD pattern of Li3Cr2Fe5O12. It was derived from a DFT-relaxed cell (PBE+U, the Materials Project), using Cu Kα.

Atomic structure:
```
Li3Cr2Fe5O12
1.0
2.557 -4.517 0.000
2.557 4.517 0.000
-1.947 0.000 9.846
Li Cr Fe O
3 2 5 12
Cartesian
0.000 0.000 0.000
0.793 -1.528 2.375
2.374 -1.528 7.471
2.557 1.494 0.000
1.583 -3.069 4.923
0.752 1.385 2.405
1.583 2.988 4.923
1.583 -0.065 4.923
2.415 1.385 7.441
2.557 -1.460 0.000
1.721 2.726 1.125
-0.056 -0.022 3.830
0.771 1.497 6.033
1.446 2.726 8.721
1.705 -0.007 1.010
2.395 1.497 3.814
0.735 -1.631 6.014
1.462 -0.007 8.836
1.710 -2.865 1.110
2.432 -1.631 3.833
3.223 -0.022 6.016
1.457 -2.865 8.736
```

Main lines, in order of falling intensity (2θ = 15–90°):
Position (°2θ), I/Imax
42.32, 100
18.02, 56
43.56, 47
36.88, 37
23.57, 36
62.64, 27

[3]
The following is a calculated PXRD pattern of Li2Cr2FeO6. It was derived from a DFT-relaxed cell (PBE+U, the Materials Project), using Cu Kα.

Atomic structure:
```
Li2Cr2FeO6
1.0
6.644 0.000 0.000
0.749 6.604 0.000
2.747 2.459 7.562
Li Cr Fe O
6 6 3 18
Cartesian
7.685 1.910 2.529
2.454 7.153 5.033
5.075 3.579 7.551
4.451 4.929 5.022
5.688 4.134 2.541
5.064 5.484 0.012
1.124 5.911 1.275
5.129 7.560 6.311
3.712 2.311 3.773
6.428 6.752 3.789
5.011 1.503 1.251
9.016 3.152 6.288
1.748 4.531 3.781
3.046 3.721 1.269
7.094 5.342 6.293
3.264 7.907 6.961
1.872 2.601 4.416
1.249 3.992 1.912
4.224 2.858 5.654
2.976 5.563 0.574
3.676 4.166 3.091
3.122 1.889 1.879
4.573 7.054 4.493
5.307 5.635 6.949
4.833 3.427 0.613
5.567 2.009 3.069
7.018 7.174 5.683
6.464 4.897 4.471
7.164 3.500 6.988
5.916 6.204 1.909
8.891 5.071 5.650
8.267 6.461 3.147
6.876 1.155 0.601
```

Main lines, in order of falling intensity (2θ = 15–90°):
Position (°2θ), I/Imax
18.15, 100
43.22, 42
35.66, 35
43.01, 21
63.00, 17
62.24, 11

[4]
The following is a calculated PXRD pattern of Li3Cr3FeO8. It was derived from a DFT-relaxed cell (PBE+U, the Materials Project), using Cu Kα.

Atomic structure:
```
Li3Cr3FeO8
1.0
5.145 0.000 0.000
2.554 7.318 0.000
0.808 0.886 7.702
Li Cr Fe O
6 6 2 16
Cartesian
0.428 1.032 1.011
1.237 2.469 5.750
7.271 5.735 1.952
8.080 7.172 6.691
1.269 3.036 2.814
7.238 5.168 4.888
4.636 5.431 3.383
3.781 2.238 7.232
5.508 7.480 5.281
2.999 0.724 2.421
4.726 5.966 0.470
3.871 2.773 4.319
3.827 3.377 1.421
4.681 4.827 6.280
2.204 1.002 6.983
3.071 4.177 3.040
3.933 6.166 5.146
3.972 6.818 2.098
2.292 1.620 4.082
2.313 2.206 1.243
3.159 3.688 5.963
3.162 4.734 0.203
5.345 3.470 7.499
5.349 4.516 1.739
6.194 5.998 6.459
6.215 6.584 3.620
4.535 1.387 5.604
4.574 2.038 2.556
5.436 4.027 4.662
6.303 7.202 0.719
```

Main lines, in order of falling intensity (2θ = 15–90°):
Position (°2θ), I/Imax
18.30, 100
43.32, 45
35.87, 25
43.57, 22
35.74, 12
63.41, 12

[5]
The following is a calculated PXRD pattern of Li5Cr3FeO8. It was derived from a DFT-relaxed cell (PBE+U, the Materials Project), using Cu Kα.

Atomic structure:
```
Li5Cr3FeO8
1.0
2.998 1.731 4.969
-2.998 1.731 4.969
0.000 -3.462 4.969
Li Cr Fe O
5 3 1 8
Cartesian
-2.998 0.000 7.453
-1.499 0.865 2.484
0.000 0.000 0.998
1.499 0.865 2.484
0.000 0.000 13.908
-1.499 -0.865 4.969
-1.499 0.865 9.937
0.000 1.731 4.968
0.000 0.000 7.453
0.000 -1.621 6.142
-1.404 0.811 6.142
0.000 0.000 3.843
-1.404 -0.811 8.764
1.404 0.811 6.142
0.000 0.000 11.062
1.404 -0.811 8.764
0.000 1.621 8.764
```

Main lines, in order of falling intensity (2θ = 15–90°):
Position (°2θ), I/Imax
42.43, 100
18.09, 89
34.96, 29
17.85, 29
61.90, 28
61.23, 26

[6]
The following is a calculated PXRD pattern of Li3CrFe3O8. It was derived from a DFT-relaxed cell (PBE+U, the Materials Project), using Cu Kα.

Atomic structure:
```
Li3CrFe3O8
1.0
2.860 -4.944 0.000
2.860 4.944 0.000
0.000 0.000 9.503
Li Cr Fe O
6 2 6 16
Cartesian
1.436 0.832 4.744
2.860 3.286 4.752
1.436 -0.832 9.496
4.285 0.832 4.744
2.860 -3.286 0.000
4.285 -0.832 9.496
2.860 1.635 9.017
2.860 -1.635 4.265
1.526 0.886 2.197
2.860 3.181 2.192
1.526 -0.886 6.949
4.195 0.886 2.197
2.860 -3.181 6.943
4.195 -0.886 6.949
2.860 4.937 6.022
1.538 2.367 0.929
2.860 3.295 8.086
1.450 0.781 8.079
1.450 -0.781 3.328
2.860 1.651 3.406
2.860 0.159 0.925
4.182 2.367 0.929
1.538 -2.367 5.680
2.860 -0.159 5.676
2.860 -1.651 8.157
4.270 0.781 8.079
4.270 -0.781 3.328
2.860 -3.295 3.335
4.182 -2.367 5.680
2.860 -4.937 1.270
```

Main lines, in order of falling intensity (2θ = 15–90°):
Position (°2θ), I/Imax
20.23, 100
46.57, 70
37.56, 55
18.67, 55
61.52, 43
33.59, 40

[7]
The following is a calculated PXRD pattern of Li3CrFe3O8. It was derived from a DFT-relaxed cell (PBE+U, the Materials Project), using Cu Kα.

Atomic structure:
```
Li3CrFe3O8
1.0
2.979 1.720 4.928
-2.979 1.720 4.928
0.000 -3.439 4.928
Li Cr Fe O
3 1 3 8
Cartesian
-1.489 -0.860 4.928
-1.489 0.860 9.855
0.000 1.720 4.928
0.000 0.000 7.392
-2.979 0.000 7.392
-1.489 0.860 2.464
1.489 0.860 2.464
0.000 0.000 3.565
-1.416 -0.818 8.463
0.000 -1.635 6.321
-1.416 0.818 6.321
1.416 -0.818 8.463
0.000 1.635 8.463
1.416 0.818 6.321
0.000 0.000 11.218
```

Main lines, in order of falling intensity (2θ = 15–90°):
Position (°2θ), I/Imax
18.00, 100
42.75, 68
35.32, 38
62.35, 19
61.75, 18
56.30, 15

[8]
The following is a calculated PXRD pattern of Li4Cr3Fe3O12. It was derived from a DFT-relaxed cell (PBE+U, the Materials Project), using Cu Kα.

Atomic structure:
```
Li4Cr3Fe3O12
1.0
0.000 4.488 8.518
2.846 0.000 8.518
2.846 4.488 0.000
Li Cr Fe O
4 3 3 12
Cartesian
1.423 2.244 1.361
2.846 4.488 2.890
1.423 2.244 7.157
2.846 4.488 14.146
0.000 0.000 0.000
2.846 4.488 5.718
2.846 4.488 11.319
1.423 2.244 4.259
4.269 6.733 9.975
4.269 6.733 15.580
1.423 0.275 4.259
2.790 2.482 5.736
4.327 4.240 7.040
2.846 1.984 8.518
4.327 4.737 9.996
2.901 2.482 11.300
1.423 4.213 4.259
2.901 6.495 5.736
1.365 4.737 7.040
2.846 6.993 8.518
1.365 4.240 9.996
2.790 6.495 11.300
```

Main lines, in order of falling intensity (2θ = 15–90°):
Position (°2θ), I/Imax
24.26, 100
45.10, 41
37.46, 27
40.18, 25
61.98, 23
51.86, 21

[9]
The following is a calculated PXRD pattern of Li3Cr2Fe3O10. It was derived from a DFT-relaxed cell (PBE+U, the Materials Project), using Cu Kα.

Atomic structure:
```
Li3Cr2Fe3O10
1.0
5.099 0.000 0.000
1.045 5.075 0.000
2.387 1.889 7.180
Li Cr Fe O
3 2 3 10
Cartesian
0.000 0.000 0.000
3.505 3.844 0.664
5.026 3.120 6.517
0.963 2.354 1.345
7.569 4.610 5.835
1.758 2.083 4.342
4.266 3.482 3.590
6.773 4.881 2.838
1.476 0.559 1.171
4.056 4.962 7.013
3.295 5.230 4.049
2.530 2.997 2.561
3.330 2.907 5.273
5.201 4.057 1.907
6.001 3.968 4.619
5.237 1.734 3.132
4.475 2.002 0.168
7.055 6.405 6.010
```

Main lines, in order of falling intensity (2θ = 15–90°):
Position (°2θ), I/Imax
18.41, 100
41.50, 59
43.72, 54
43.92, 51
18.07, 40
26.78, 40

[10]
The following is a calculated PXRD pattern of Li5Cr2Fe5O12. It was derived from a DFT-relaxed cell (PBE+U, the Materials Project), using Cu Kα.

Atomic structure:
```
Li5Cr2Fe5O12
1.0
2.546 -4.500 0.000
2.546 4.500 0.000
-1.874 0.000 9.598
Li Cr Fe O
5 2 5 12
Cartesian
0.000 0.000 0.000
-0.145 0.011 7.235
0.808 -1.467 2.362
3.363 0.011 2.363
2.410 -1.467 7.236
2.546 1.529 0.000
1.609 -2.983 4.799
0.815 1.487 2.368
1.609 3.031 4.799
1.609 -0.045 4.799
2.403 1.487 7.230
2.546 -1.451 0.000
1.602 2.921 1.141
-0.098 0.114 3.594
0.737 1.555 6.002
1.616 2.921 8.457
1.731 0.072 1.131
2.481 1.555 3.596
0.716 -1.615 5.988
1.488 0.072 8.467
1.721 -2.860 1.119
2.502 -1.615 3.611
3.316 0.114 6.004
1.497 -2.860 8.479
```

Main lines, in order of falling intensity (2θ = 15–90°):
Position (°2θ), I/Imax
42.88, 100
43.94, 48
18.49, 33
23.75, 30
62.92, 27
63.24, 26